# Rb6MnBr8
Theoretical X-ray diffraction stick pattern, λ = 1.5418 Å (Cu Kα). Input: a crystal structure in Alexandria, relaxed with GGA-PBE.
Neutral-atom scattering factors, no anomalous dispersion.

Crystal structure
abc: 10.1138 10.1138 19.8166
angles: 90.00 90.00 120.00
Space group R-3 (No. 148, hexagonal axes)
Inequivalent atoms, fractional coordinates:
Rb 0.0232 0.4024 0.4194
Mn 0.0000 0.0000 0.5000
Br 0.0000 0.0000 0.1534
Br 0.0116 0.2288 0.5800

Top 10 peaks for 10 to 90 degrees two-theta, in order of rising 2θ:
(0 0 3), 2θ 13.41, intensity 34; (1 1 3), 2θ 22.14, intensity 42; (0 0 6), 2θ 27.00, intensity 52; (2 1 1), 2θ 27.31, intensity 100; (1 2 2), 2θ 28.43, intensity 74; (3 0 0), 2θ 30.62, intensity 49; (1 1 6), 2θ 32.38, intensity 82; (2 1 4), 2θ 32.53, intensity 64; (3 -2 5), 2θ 35.33, intensity 59; (4 -2 3), 2θ 38.11, intensity 52

---

# RbMnBr3
Theoretical X-ray diffraction stick pattern, λ = 1.5418 Å (Cu Kα). Input: a crystal structure in Alexandria, relaxed with GGA-PBE.
Neutral-atom scattering factors, no anomalous dispersion.

Crystal structure
abc: 13.1785 13.1785 6.6251
angles: 90.00 90.00 120.00
Space group P6_3cm (No. 185)
Inequivalent atoms, fractional coordinates:
Rb 0.0000 0.3351 0.0000
Mn 0.0000 0.0000 0.1696
Mn 0.3333 0.6667 0.3047
Br 0.0000 0.1617 0.4156
Br 0.1722 0.5043 0.5573

Top 10 peaks for 10 to 90 degrees two-theta, in order of rising 2θ:
(1 1 0), 2θ 13.44, intensity 20; (0 0 2), 2θ 26.92, intensity 14; (2 2 0), 2θ 27.06, intensity 11; (2 2 1), 2θ 30.30, intensity 100; (2 1 2), 2θ 34.13, intensity 9; (2 2 2), 2θ 38.54, intensity 19; (6 0 0), 2θ 47.82, intensity 28; (6 0 2), 2θ 55.74, intensity 12; (4 4 1), 2θ 57.66, intensity 16; (8 2 1), 2θ 78.09, intensity 13

---

# RbMnTeBr6
Theoretical X-ray diffraction stick pattern, λ = 1.5418 Å (Cu Kα). Input: a crystal structure in Alexandria, relaxed with GGA-PBE.
Neutral-atom scattering factors, no anomalous dispersion.

Crystal structure
abc: 7.2086 7.2409 7.5074
angles: 91.99 92.32 114.54
Space group P1 (No. 1)
Inequivalent atoms, fractional coordinates:
Rb 0.0000 0.0000 0.0000
Mn 0.3238 0.6783 0.5024
Te 0.6704 0.3286 0.5010
Br 0.0212 0.3770 0.6938
Br 0.0430 0.6450 0.2745
Br 0.3614 0.9558 0.7334
Br 0.3727 0.3776 0.2940
Br 0.6233 0.9797 0.3098
Br 0.6237 0.6246 0.7082

Top 10 peaks for 10 to 90 degrees two-theta, in order of rising 2θ:
(0 0 1), 2θ 11.82, intensity 100; (0 1 -1), 2θ 17.44, intensity 75; (0 1 1), 2θ 18.49, intensity 57; (-1 1 1), 2θ 18.80, intensity 59; (1 1 -1), 2θ 25.02, intensity 71; (-2 1 1), 2θ 27.16, intensity 75; (2 -1 1), 2θ 27.96, intensity 49; (1 1 -2), 2θ 31.97, intensity 73; (-1 2 2), 2θ 35.06, intensity 67; (2 -1 2), 2θ 35.26, intensity 69

---

# RbMn2TlBr8
Theoretical X-ray diffraction stick pattern, λ = 1.5418 Å (Cu Kα). Input: a crystal structure in Alexandria, relaxed with GGA-PBE.
Neutral-atom scattering factors, no anomalous dispersion.

Crystal structure
abc: 7.1390 7.1390 10.2797
angles: 90.00 90.00 120.00
Space group P-3 (No. 147)
Inequivalent atoms, fractional coordinates:
Rb 0.0000 0.0000 0.0000
Mn 0.3333 0.6667 0.7643
Tl 0.0000 0.0000 0.5000
Br 0.0106 0.3427 0.7000
Br 0.3333 0.6667 0.9945

Top 10 peaks for 10 to 90 degrees two-theta, in order of rising 2θ:
(0 1 1), 2θ 16.73, intensity 65; (1 0 2), 2θ 22.50, intensity 43; (1 1 0), 2θ 24.95, intensity 24; (1 1 1), 2θ 26.43, intensity 76; (2 -1 2), 2θ 30.49, intensity 100; (1 1 3), 2θ 36.34, intensity 17; (1 1 4), 2θ 43.39, intensity 42; (3 0 0), 2θ 43.93, intensity 56; (2 2 2), 2θ 54.42, intensity 19; (3 0 4), 2θ 57.31, intensity 23

---

# Rb8Zr6MnBr20
Theoretical X-ray diffraction stick pattern, λ = 1.5418 Å (Cu Kα). Input: a crystal structure in Alexandria, relaxed with GGA-PBE.
Neutral-atom scattering factors, no anomalous dispersion.

Crystal structure
abc: 17.1445 17.1445 17.1445
angles: 90.00 90.00 90.00
Space group Fm-3m (No. 225)
Inequivalent atoms, fractional coordinates:
Rb 0.1397 0.1397 0.1397
Zr 0.0000 0.0000 0.3575
Mn 0.0000 0.0000 0.5000
Br 0.0000 0.0000 0.1871
Br 0.0000 0.1614 0.3386
Br 0.2500 0.2500 0.2500

Top 10 peaks for 10 to 90 degrees two-theta, in order of rising 2θ:
(2 0 0), 2θ 10.32, intensity 32; (3 3 3), 2θ 27.02, intensity 85; (5 3 1), 2θ 30.86, intensity 31; (6 0 0), 2θ 31.30, intensity 100; (6 2 0), 2θ 33.04, intensity 24; (5 5 3), 2θ 40.41, intensity 23; (8 0 0), 2θ 42.17, intensity 19; (6 6 0), 2θ 44.86, intensity 64; (7 5 1), 2θ 45.84, intensity 17; (9 3 3), 2θ 53.15, intensity 22

---

# Mn3RhBr8
Theoretical X-ray diffraction stick pattern, λ = 1.5418 Å (Cu Kα). Input: a crystal structure in Alexandria, relaxed with GGA-PBE.
Neutral-atom scattering factors, no anomalous dispersion.

Crystal structure
abc: 7.8084 10.9578 7.7595
angles: 90.00 90.00 90.00
Space group C222 (No. 21)
Inequivalent atoms, fractional coordinates:
Mn 0.0000 0.0000 0.0000
Mn 0.2500 0.2500 0.7527
Rh 0.0000 0.0000 0.5000
Br 0.0000 0.2279 0.5000
Br 0.0000 0.2418 0.0000
Br 0.2415 0.0113 0.7470

Top 10 peaks for 10 to 90 degrees two-theta, in order of rising 2θ:
(1 1 0), 2θ 13.93, intensity 41; (1 1 1), 2θ 18.04, intensity 23; (2 2 0), 2θ 28.06, intensity 23; (0 2 2), 2θ 28.18, intensity 23; (2 0 2), 2θ 32.54, intensity 100; (0 4 0), 2θ 32.69, intensity 45; (4 0 0), 2θ 46.52, intensity 18; (0 0 4), 2θ 46.80, intensity 81; (4 4 0), 2θ 58.02, intensity 16; (0 4 4), 2θ 58.28, intensity 16

---

# MnRu4Br
Theoretical X-ray diffraction stick pattern, λ = 1.5418 Å (Cu Kα). Input: a crystal structure in Alexandria, relaxed with GGA-PBE.
Neutral-atom scattering factors, no anomalous dispersion.

Crystal structure
abc: 7.3479 7.3479 7.3479
angles: 90.00 90.00 90.00
Space group F-43m (No. 216)
Inequivalent atoms, fractional coordinates:
Mn 0.0000 0.0000 0.0000
Ru 0.1249 0.1249 0.3751
Br 0.2500 0.2500 0.7500

Top 10 peaks for 10 to 90 degrees two-theta, in order of rising 2θ:
(1 1 1), 2θ 20.94, intensity 25; (2 2 0), 2θ 34.53, intensity 16; (3 1 1), 2θ 40.73, intensity 100; (2 2 2), 2θ 42.62, intensity 54; (4 0 0), 2θ 49.63, intensity 12; (3 3 1), 2θ 54.43, intensity 6; (5 1 1), 2θ 66.07, intensity 31; (4 4 0), 2θ 72.81, intensity 28; (5 3 3), 2θ 86.94, intensity 11; (6 2 2), 2θ 88.20, intensity 20

---

# MnRuBr6
Theoretical X-ray diffraction stick pattern, λ = 1.5418 Å (Cu Kα). Input: a crystal structure in Alexandria, relaxed with GGA-PBE.
Neutral-atom scattering factors, no anomalous dispersion.

Crystal structure
abc: 6.4989 12.6158 6.4971
angles: 90.00 111.27 90.00
Space group C2/m (No. 12)
Inequivalent atoms, fractional coordinates:
Mn 0.0000 0.0000 0.0000
Ru 0.0000 0.5000 0.5000
Br 0.2296 0.5000 0.2692
Br 0.2484 0.1384 0.2492

Top 10 peaks for 10 to 90 degrees two-theta, in order of rising 2θ:
(0 2 0), 2θ 14.04, intensity 76; (1 1 -1), 2θ 17.97, intensity 54; (1 3 -1), 2θ 26.94, intensity 35; (0 0 2), 2θ 29.50, intensity 37; (1 3 1), 2θ 32.39, intensity 100; (2 0 -2), 2θ 33.41, intensity 50; (2 4 0), 2θ 41.34, intensity 26; (1 5 1), 2θ 43.54, intensity 23; (1 3 -3), 2θ 47.22, intensity 63; (1 5 -3), 2θ 55.95, intensity 23

---

# MnS4Br2
Theoretical X-ray diffraction stick pattern, λ = 1.5418 Å (Cu Kα). Input: a crystal structure in Alexandria, relaxed with GGA-PBE.
Neutral-atom scattering factors, no anomalous dispersion.

Crystal structure
abc: 7.3758 8.1896 8.7906
angles: 63.42 70.15 88.04
Space group P1 (No. 1)
Inequivalent atoms, fractional coordinates:
Mn 0.0000 0.0000 0.0000
Mn 0.4804 0.6473 0.1167
S 0.0419 0.3278 0.8169
S 0.0523 0.4257 0.5568
S 0.3340 0.3630 0.2036
S 0.3365 0.3871 0.4199
S 0.6234 0.6802 0.8067
S 0.6607 0.9588 0.6405
S 0.8510 0.1322 0.1915
S 0.9178 0.0185 0.4231
Br 0.1278 0.9367 0.7481
Br 0.2967 0.9099 0.1140
Br 0.3834 0.5165 0.7857
Br 0.7608 0.7001 0.1975

Top 10 peaks for 10 to 90 degrees two-theta, in order of rising 2θ:
(0 0 1), 2θ 12.08, intensity 42; (0 1 0), 2θ 12.20, intensity 35; (0 1 1), 2θ 12.58, intensity 27; (1 -1 0), 2θ 16.49, intensity 100; (0 1 2), 2θ 21.52, intensity 43; (2 0 1), 2θ 24.30, intensity 67; (-1 2 1), 2θ 25.86, intensity 30; (1 -2 0), 2θ 26.13, intensity 37; (2 1 2), 2θ 27.75, intensity 65; (1 2 0), 2θ 29.42, intensity 29

---

# MnS5Br
Theoretical X-ray diffraction stick pattern, λ = 1.5418 Å (Cu Kα). Input: a crystal structure in Alexandria, relaxed with GGA-PBE.
Neutral-atom scattering factors, no anomalous dispersion.

Crystal structure
abc: 5.5535 22.7611 4.3213
angles: 90.00 121.83 90.00
Space group C2 (No. 5)
Inequivalent atoms, fractional coordinates:
Mn 0.0000 0.0000 0.0000
S 0.0000 0.7655 0.0000
S 0.1503 0.4289 0.7652
S 0.1551 0.7092 0.7718
Br 0.0000 0.0593 0.5000

Top 10 peaks for 10 to 90 degrees two-theta, in order of rising 2θ:
(0 4 0), 2θ 15.57, intensity 44; (1 1 0), 2θ 19.21, intensity 30; (1 3 0), 2θ 22.19, intensity 100; (0 6 0), 2θ 23.45, intensity 16; (1 3 -1), 2θ 24.47, intensity 32; (0 4 1), 2θ 28.94, intensity 17; (1 5 -1), 2θ 29.14, intensity 37; (2 6 -1), 2θ 40.50, intensity 17; (1 1 -2), 2θ 42.58, intensity 15; (2 8 -1), 2θ 45.88, intensity 20

---

# MnSbBr
Theoretical X-ray diffraction stick pattern, λ = 1.5418 Å (Cu Kα). Input: a crystal structure in Alexandria, relaxed with GGA-PBE.
Neutral-atom scattering factors, no anomalous dispersion.

Crystal structure
abc: 3.5292 6.3231 7.0746
angles: 90.00 95.45 90.00
Space group P2_1 (No. 4)
Inequivalent atoms, fractional coordinates:
Mn 0.2099 0.0000 0.2660
Sb 0.3659 0.3431 0.0033
Br 0.2423 0.6202 0.4968

Top 10 peaks for 10 to 90 degrees two-theta, in order of rising 2θ:
(0 1 1), 2θ 18.86, intensity 25; (0 0 2), 2θ 25.30, intensity 53; (1 0 1), 2θ 29.47, intensity 29; (1 1 -1), 2θ 30.78, intensity 45; (0 2 1), 2θ 31.01, intensity 100; (1 1 1), 2θ 32.77, intensity 37; (1 1 -2), 2θ 37.22, intensity 40; (0 2 2), 2θ 38.28, intensity 28; (1 1 2), 2θ 40.55, intensity 31; (0 2 3), 2θ 48.29, intensity 27

---

# ScMnBr6
Theoretical X-ray diffraction stick pattern, λ = 1.5418 Å (Cu Kα). Input: a crystal structure in Alexandria, relaxed with GGA-PBE.
Neutral-atom scattering factors, no anomalous dispersion.

Crystal structure
abc: 6.6049 12.6018 6.6069
angles: 90.00 109.88 90.00
Space group C2/m (No. 12)
Inequivalent atoms, fractional coordinates:
Sc 0.0000 0.0000 0.0000
Mn 0.0000 0.5000 0.5000
Br 0.2262 0.3600 0.7275
Br 0.2370 0.0000 0.7614

Top 10 peaks for 10 to 90 degrees two-theta, in order of rising 2θ:
(0 2 0), 2θ 14.06, intensity 53; (1 1 -1), 2θ 17.85, intensity 33; (1 3 -1), 2θ 26.88, intensity 64; (0 0 2), 2θ 28.74, intensity 62; (1 3 1), 2θ 31.78, intensity 100; (2 0 -2), 2θ 33.14, intensity 52; (0 4 2), 2θ 40.80, intensity 18; (0 6 0), 2θ 43.08, intensity 32; (1 3 -3), 2θ 46.57, intensity 64; (2 6 -2), 2θ 55.42, intensity 36